Diffraction record for RbTaIn2Br8. The powder X-ray diffraction pattern is theoretical, not measured: it uses a crystal structure in Alexandria, relaxed with GGA-PBE and a wavelength of 1.5418 Å.
Intensities are scaled so that the largest is 100.

Structure:
```
data_RbTaIn2Br8
_chemical_formula_sum 'Rb1 Ta1 In2 Br8'
_cell_length_a 6.7468
_cell_length_b 8.0519
_cell_length_c 9.5642
_cell_angle_alpha 90.14
_cell_angle_beta 90.10
_cell_angle_gamma 111.35
_symmetry_space_group_name_H-M 'P -1'
_symmetry_Int_Tables_number 2
loop_
_symmetry_equiv_pos_as_xyz
'x,y,z'
'-x,-y,-z'
loop_
_atom_site_label
_atom_site_fract_x
_atom_site_fract_y
_atom_site_fract_z
Rb1 0.0000 0.0000 0.0000
Ta1 0.0000 0.0000 0.5000
In1 0.0044 0.5012 0.2349
Br1 0.2286 0.8124 0.5025
Br2 0.2344 0.2063 0.6881
Br3 0.2373 0.2034 0.3134
Br4 0.2688 0.7085 0.9984
```

Most intense lines, 2θ = 10–80°, in order of rising 2θ:
two_theta  Rel. int.  h k l
14.09  100  1 0 0
22.05  51  0 1 2
22.77  45  1 -2 0
28.49  73  1 1 -2
28.60  71  1 1 2
29.71  61  2 -2 0